Starting from a cell relaxed with PBE, the powder diffraction line list of SmCd3Cu8 was computed for λ = 1.5418 Å (Cu Kα).
Lines closer than 0.1° are merged.

Top 10 peaks for 2θ = 15–90°, low angle first:
two_theta, I/Imax
35.03, 50
38.56, 81
40.67, 14
41.51, 100
42.18, 66
65.18, 32
67.26, 22
71.30, 26
74.01, 23
86.70, 15

Crystal structure
```
12
Lattice="5.124 0.000 0.000 -2.562 4.437 0.000 0.000 0.000 8.238" Properties=species:S:1:pos:R:3 pbc="T T T"
Sm 0.000 0.000 0.000
Cd 0.000 0.000 3.208
Cd 2.562 1.479 4.066
Cd 2.562 1.479 7.064
Cu 0.000 1.481 5.626
Cu -1.279 3.697 5.626
Cu 0.000 2.958 3.563
Cu 0.000 2.958 7.712
Cu 2.562 0.021 1.572
Cu 1.299 2.208 1.572
Cu 1.279 3.697 5.626
Cu 3.824 2.208 1.572
```

---

Starting from a cell relaxed with PBE, the powder diffraction line list of Sr2As3Pd9 was computed for λ = 1.5418 Å (Cu Kα).
Lines closer than 0.1° are merged.

Top 10 peaks for 2θ = 15–90°, low angle first:
two_theta, I/Imax
34.74, 29
35.96, 25
36.32, 47
36.52, 46
37.10, 52
38.30, 96
40.26, 100
41.53, 22
42.89, 29
44.78, 24

Crystal structure
```
28
Lattice="7.052 -3.821 0.000 7.052 3.821 0.000 -4.763 0.000 9.396" Properties=species:S:1:pos:R:3 pbc="T T T"
Sr 1.320 0.694 2.261
Sr -1.062 -0.694 6.959
Sr 10.402 0.694 2.437
Sr 8.021 -0.694 7.135
As 3.526 1.911 0.000
As 3.429 1.911 4.647
As 8.294 1.911 0.051
As 1.144 -1.911 4.698
As 1.047 -1.911 9.345
As 5.912 -1.911 4.749
Pd 5.868 3.388 0.838
Pd 5.855 3.388 3.860
Pd 1.122 0.632 5.235
Pd 4.411 1.392 2.366
Pd 1.114 0.725 9.285
Pd 3.504 -0.632 0.537
Pd 3.480 1.103 7.047
Pd 7.311 1.392 2.332
Pd 5.846 0.725 4.809
Pd 3.495 -0.725 4.587
Pd 2.030 -1.392 7.064
Pd 5.861 -1.103 2.349
Pd 5.837 0.632 8.859
Pd 8.227 -0.725 0.111
Pd 4.929 -1.392 7.029
Pd 8.219 -0.632 4.161
Pd 3.486 -3.388 5.536
Pd 3.473 -3.388 8.558
```

---

Starting from a cell relaxed with PBE, the powder diffraction line list of K5Hg3F12 was computed for λ = 1.5418 Å (Cu Kα).
Lines closer than 0.1° are merged.

Top 10 peaks for 2θ = 15–90°, low angle first:
two_theta, I/Imax
16.54, 100
28.86, 43
29.00, 77
33.44, 16
37.64, 16
41.37, 38
44.75, 15
51.21, 49
51.48, 12
57.32, 13

Crystal structure
```
20
Lattice="10.717 0.000 0.000 -5.359 9.281 0.000 0.000 0.000 3.763" Properties=species:S:1:pos:R:3 pbc="T T T"
K -1.499 2.596 0.000
K 2.998 0.000 0.000
K 0.000 6.187 0.000
K 5.359 3.094 0.000
K 3.860 6.685 0.000
Hg -3.536 6.124 1.881
Hg 1.823 3.157 1.881
Hg 7.071 0.000 1.881
F -2.815 4.876 0.000
F -4.279 7.411 0.000
F 1.080 1.871 0.000
F -0.134 4.140 1.881
F -1.706 7.327 1.881
F 3.653 1.954 1.881
F 2.543 4.405 0.000
F 5.631 0.000 0.000
F 1.840 7.095 1.881
F 5.224 5.141 1.881
F 7.198 2.186 1.881
F 8.557 0.000 0.000
```

---

Starting from a cell relaxed with PBE, the powder diffraction line list of Pm2Dy7Th was computed for λ = 1.5418 Å (Cu Kα).
Lines closer than 0.1° are merged.

Top 10 peaks for 2θ = 15–90°, low angle first:
two_theta, I/Imax
29.26, 26
29.91, 38
31.12, 41
31.83, 22
33.08, 100
39.81, 11
40.76, 12
51.87, 14
62.52, 13
63.67, 13

Crystal structure
```
10
Lattice="3.284 -14.372 0.000 3.284 14.372 0.000 0.000 0.000 3.472" Properties=species:S:1:pos:R:3 pbc="T T T"
Pm 3.284 8.469 0.000
Pm 3.284 -8.469 0.000
Dy 0.000 0.000 0.000
Dy 1.677 2.801 0.000
Dy 3.284 5.359 1.736
Dy 1.677 -2.801 0.000
Dy 4.891 2.801 0.000
Dy 3.284 -5.359 1.736
Dy 4.891 -2.801 0.000
Th 3.284 0.000 1.736
```

---

Starting from a cell relaxed with PBE, the powder diffraction line list of AcLa2Pm2Er was computed for λ = 1.5418 Å (Cu Kα).
Lines closer than 0.1° are merged.

Top 10 peaks for 2θ = 15–90°, low angle first:
two_theta, I/Imax
30.12, 98
30.54, 100
43.43, 36
49.85, 9
53.99, 26
54.09, 13
54.33, 13
59.60, 30
71.99, 11
76.83, 10

Crystal structure
```
12
Lattice="5.845 0.000 0.000 0.000 10.155 0.000 0.000 0.000 7.317" Properties=species:S:1:pos:R:3 pbc="T T T"
Ac 0.000 0.003 0.000
Ac 0.000 10.152 3.659
La 0.000 3.399 1.832
La 0.000 6.756 5.490
La 2.922 5.072 7.317
La 2.922 5.083 3.658
Pm 0.000 3.404 5.485
Pm 0.000 6.751 1.826
Pm 2.922 1.727 1.832
Pm 2.922 8.428 5.490
Er 2.922 1.693 5.487
Er 2.922 8.461 1.828
```

---

Starting from a cell relaxed with PBE, the powder diffraction line list of CsTlCuBr3 was computed for λ = 1.5418 Å (Cu Kα).
Lines closer than 0.1° are merged.

Top 10 peaks for 2θ = 15–90°, low angle first:
two_theta, I/Imax
22.09, 23
22.45, 18
24.99, 52
29.14, 46
29.60, 100
33.45, 19
39.61, 18
44.95, 17
49.92, 19
51.95, 19

Crystal structure
```
12
Lattice="9.223 -3.064 0.000 9.223 3.064 0.000 -4.467 0.000 7.929" Properties=species:S:1:pos:R:3 pbc="T T T"
Cs 2.280 0.000 1.283
Cs 11.699 0.000 6.646
Tl -0.261 0.000 5.075
Tl 14.240 0.000 2.855
Cu 8.029 0.000 2.130
Cu 5.950 0.000 5.799
Br -1.211 0.000 2.154
Br 15.190 0.000 5.775
Br 3.902 0.000 4.703
Br 6.035 0.000 0.938
Br 7.944 0.000 6.992
Br 10.077 0.000 3.227
```